Starting from a GGA+U-relaxed structure, the XRD peak list of V6O5F19 was simulated for Cu Kα.
Neutral-atom scattering factors, no anomalous dispersion.

Atomic structure:
```
data_V6O5F19
_chemical_formula_sum 'V6 O5 F19'
_space_group_name_H-M_alt 'P 1'
_space_group_IT_number 1
_space_group_name_Hall 'P 1'
_cell_length_a 5.375
_cell_length_b 5.599
_cell_length_c 15.030
_cell_angle_alpha 79.75
_cell_angle_beta 89.71
_cell_angle_gamma 86.99
loop_
_atom_site_label
_atom_site_fract_x
_atom_site_fract_y
_atom_site_fract_z
_atom_site_occupancy
V1 0.000 0.000 0.000 1
V2 0.010 0.656 0.667 1
V3 0.429 0.730 0.334 1
V4 0.455 0.490 0.003 1
V5 0.482 0.113 0.672 1
V6 0.934 0.222 0.340 1
O1 0.167 0.241 0.977 1
O2 0.179 0.896 0.646 1
O3 0.210 0.552 0.321 1
O4 0.270 0.739 0.981 1
O5 0.751 0.999 0.353 1
F1 0.046 0.540 0.783 1
F2 0.062 0.207 0.450 1
F3 0.063 0.874 0.115 1
F4 0.235 0.040 0.310 1
F5 0.270 0.415 0.648 1
F6 0.371 0.037 0.784 1
F7 0.376 0.361 0.115 1
F8 0.415 0.747 0.451 1
F9 0.540 0.134 0.555 1
F10 0.546 0.446 0.893 1
F11 0.559 0.804 0.225 1
F12 0.693 0.120 0.028 1
F13 0.695 0.802 0.693 1
F14 0.699 0.479 0.365 1
F15 0.740 0.606 0.033 1
F16 0.751 0.273 0.699 1
F17 0.889 0.617 0.562 1
F18 0.893 0.943 0.895 1
F19 0.908 0.348 0.224 1
```

Most intense lines, 2θ = 5–70°, low angle first:
| Position (°2θ) | d (Å) | I_rel |
| --- | --- | --- |
| 17.99 | 4.930 | 100 |
| 24.05 | 3.700 | 47 |
| 24.20 | 3.677 | 44 |
| 25.27 | 3.525 | 84 |
| 32.02 | 2.795 | 12 |
| 36.45 | 2.465 | 11 |
| 45.61 | 1.989 | 12 |
| 48.22 | 1.887 | 13 |
| 51.87 | 1.763 | 13 |
| 55.96 | 1.643 | 10 |